# 1
Starting from a cell relaxed with GGA+U, the powder XRD pattern of Li3Fe2P3O12 was simulated for Cu Ka.
Lines closer than 0.1° are merged.

Atomic structure:
a b c (Å): 8.151 5.405 18.889
angles (deg): 90.00 90.29 90.00
Space group C2/m (No. 12)
Unique sites:
Li (0.000, 0.000, 0.166) [4 per cell]
Li (0.173, 0.500, 0.247) [4 per cell]
Li (0.173, 0.500, 0.914) [4 per cell]
Fe (0.000, 0.000, 0.000) [2 per cell]
Fe (0.000, 0.000, 0.500) [2 per cell]
Fe (0.001, 0.000, 0.332) [4 per cell]
P (0.149, 0.500, 0.082) [4 per cell]
P (0.151, 0.500, 0.748) [4 per cell]
P (0.152, 0.500, 0.417) [4 per cell]
O (0.031, 0.269, 0.077) [8 per cell]
O (0.033, 0.269, 0.743) [8 per cell]
O (0.038, 0.262, 0.417) [8 per cell]
O (0.234, 0.000, 0.316) [4 per cell]
O (0.236, 0.000, 0.518) [4 per cell]
O (0.240, 0.000, 0.985) [4 per cell]
O (0.246, 0.000, 0.652) [4 per cell]
O (0.246, 0.500, 0.817) [4 per cell]
O (0.248, 0.500, 0.149) [4 per cell]

Peak list (8 most intense, 5° ≤ 2θ ≤ 70°, in order of rising 2θ)
2theta  Rel. int.  hkl
14.1  25  0 0 3
21.8  21  2 0 0
24.3  93  1 1 3
26.0  48  2 0 -3
33.1  39  0 2 0
34.8  100  1 1 6
37.0  44  3 1 0
44.2  24  0 2 6


# 2
Starting from a cell relaxed with GGA+U, the powder XRD pattern of LiFePO4 was simulated for Cu Ka.
Lines closer than 0.1° are merged.

Atomic structure:
a b c (Å): 6.289 7.748 16.325
angles (deg): 90.00 97.45 90.00
Space group C2/c (No. 15)
Unique sites:
Li (0.126, 0.173, 0.437) [8 per cell]
Fe (0.245, 0.423, 0.749) [8 per cell]
P (0.045, 0.173, 0.637) [8 per cell]
O (0.072, 0.001, 0.346) [8 per cell]
O (0.077, 0.337, 0.839) [8 per cell]
O (0.097, 0.185, 0.549) [8 per cell]
O (0.240, 0.329, 0.301) [8 per cell]

Peak list (8 most intense, 5° ≤ 2θ ≤ 70°, in order of rising 2θ)
2theta  Rel. int.  hkl
10.9  100  0 0 2
18.3  9  1 1 0
19.6  28  1 1 1
28.4  13  0 2 3
32.0  10  2 0 2
38.0  9  2 2 1
38.7  12  2 0 4
47.3  8  0 4 1


# 3
Starting from a cell relaxed with GGA+U, the powder XRD pattern of LiFe2P3O12 was simulated for Cu Ka.
Lines closer than 0.1° are merged.

Atomic structure:
a b c (Å): 8.255 8.267 8.859
angles (deg): 90.27 117.62 119.55
Space group P-1 (No. 2)
Unique sites:
Li (0.169, 0.440, 0.380) [2 per cell]
Fe (0.294, 0.647, 0.929) [2 per cell]
Fe (0.300, 0.147, 0.455) [2 per cell]
P (0.209, 0.971, 0.747) [2 per cell]
P (0.222, 0.758, 0.253) [2 per cell]
P (0.491, 0.458, 0.252) [2 per cell]
O (0.010, 0.989, 0.687) [2 per cell]
O (0.011, 0.600, 0.241) [2 per cell]
O (0.141, 0.764, 0.754) [2 per cell]
O (0.217, 0.734, 0.080) [2 per cell]
O (0.276, 0.996, 0.604) [2 per cell]
O (0.290, 0.971, 0.311) [2 per cell]
O (0.316, 0.344, 0.588) [2 per cell]
O (0.323, 0.319, 0.303) [2 per cell]
O (0.358, 0.488, 0.080) [2 per cell]
O (0.377, 0.617, 0.758) [2 per cell]
O (0.390, 0.717, 0.404) [2 per cell]
O (0.399, 0.127, 0.925) [2 per cell]

Peak list (8 most intense, 5° ≤ 2θ ≤ 70°, in order of rising 2θ)
2theta  Rel. int.  hkl
14.6  65  1 0 0
14.7  41  -1 1 1
20.1  100  1 0 -2
21.5  28  1 -2 0
24.6  99  1 1 -2
29.5  57  2 0 0
29.7  31  -2 2 2
32.3  55  1 -2 2


# 4
Starting from a cell relaxed with GGA+U, the powder XRD pattern of Li2FeP2O7 was simulated for Cu Ka.
Lines closer than 0.1° are merged.

Atomic structure:
a b c (Å): 6.544 8.954 10.823
angles (deg): 103.79 106.06 104.56
Space group P-1 (No. 2)
Unique sites:
Li (0.041, 0.259, 0.471) [2 per cell]
Li (0.043, 0.260, 0.971) [2 per cell]
Li (0.334, 0.541, 0.873) [2 per cell]
Li (0.335, 0.540, 0.373) [2 per cell]
Fe (0.260, 0.865, 0.880) [2 per cell]
Fe (0.261, 0.866, 0.380) [2 per cell]
P (0.252, 0.101, 0.669) [2 per cell]
P (0.252, 0.102, 0.169) [2 per cell]
P (0.329, 0.626, 0.122) [2 per cell]
P (0.329, 0.626, 0.621) [2 per cell]
O (0.052, 0.154, 0.107) [2 per cell]
O (0.053, 0.155, 0.609) [2 per cell]
O (0.183, 0.950, 0.709) [2 per cell]
O (0.186, 0.952, 0.211) [2 per cell]
O (0.220, 0.639, 0.730) [2 per cell]
O (0.222, 0.639, 0.231) [2 per cell]
O (0.225, 0.682, 0.004) [2 per cell]
O (0.230, 0.686, 0.505) [2 per cell]
O (0.336, 0.454, 0.562) [2 per cell]
O (0.340, 0.455, 0.065) [2 per cell]
O (0.390, 0.085, 0.574) [2 per cell]
O (0.391, 0.086, 0.074) [2 per cell]
O (0.404, 0.260, 0.305) [2 per cell]
O (0.406, 0.256, 0.806) [2 per cell]

Peak list (8 most intense, 5° ≤ 2θ ≤ 70°, in order of rising 2θ)
2theta  Rel. int.  hkl
10.8  59  0 1 0
21.3  40  1 1 0
22.3  24  -1 1 2
23.3  100  0 2 -2
27.3  29  1 -2 2
29.6  33  -2 1 2
30.2  51  2 0 0
32.8  45  0 2 2